Starting from a structure optimized by DFT (GGA-PBE), the powder X-ray diffraction pattern of Nb2Co21P6 was computed for a wavelength of 1.5418 Å.
Peak positions follow from Bragg's law for the DFT cell and can differ from measured ones.

Largest 12 diffraction maxima, in order of falling intensity, 10° ≤ 2θ ≤ 80°:
2theta	d [Å]	Rel. int.
42.77	2.114	100
46.78	1.942	42
40.22	2.242	32
49.06	1.857	30
36.58	2.456	25
73.10	1.295	24
55.49	1.656	20
74.86	1.268	12
49.81	1.831	12
79.49	1.206	7
70.72	1.332	7
68.31	1.373	7

Atomic structure:
Cell lengths 7.768, 7.768, 7.768 Å; angles 60.00, 60.00, 60.00 degrees
Atoms (fractional coordinates):
Nb 0.250 0.250 0.250
Nb 0.750 0.750 0.750
Co 0.000 0.000 0.000
Co 0.000 0.000 0.345
Co 0.000 0.000 0.655
Co 0.000 0.345 0.000
Co 0.000 0.345 0.655
Co 0.000 0.655 0.000
Co 0.000 0.655 0.345
Co 0.138 0.621 0.621
Co 0.345 0.000 0.000
Co 0.345 0.000 0.655
Co 0.345 0.655 0.000
Co 0.379 0.379 0.379
Co 0.379 0.379 0.862
Co 0.379 0.862 0.379
Co 0.621 0.138 0.621
Co 0.621 0.621 0.138
Co 0.621 0.621 0.621
Co 0.655 0.000 0.000
Co 0.655 0.000 0.345
Co 0.655 0.345 0.000
Co 0.862 0.379 0.379
P 0.272 0.272 0.728
P 0.272 0.728 0.272
P 0.272 0.728 0.728
P 0.728 0.272 0.272
P 0.728 0.272 0.728
P 0.728 0.728 0.272

***

Starting from a structure optimized by DFT (GGA-PBE), the powder X-ray diffraction pattern of PaNbCo2P2 was computed for a wavelength of 1.5418 Å.
Peak positions follow from Bragg's law for the DFT cell and can differ from measured ones.

Largest 12 diffraction maxima, in order of falling intensity, 10° ≤ 2θ ≤ 80°:
2theta	d [Å]	Rel. int.
36.84	2.440	100
48.31	1.884	34
27.33	3.263	33
62.26	1.491	21
29.96	2.982	20
12.04	7.349	20
71.76	1.315	19
57.57	1.601	11
49.62	1.837	10
46.35	1.959	6
24.22	3.674	5
56.39	1.632	5

Atomic structure:
Cell lengths 3.768, 3.768, 7.349 Å; angles 90.00, 90.00, 120.00 degrees
Atoms (fractional coordinates):
Pa 0.000 0.000 0.000
Nb 0.000 0.000 0.500
Co 0.333 0.667 0.761
Co 0.667 0.333 0.239
P 0.333 0.667 0.283
P 0.667 0.333 0.717

***

Starting from a structure optimized by DFT (GGA-PBE), the powder X-ray diffraction pattern of NbCo2PPt was computed for a wavelength of 1.5418 Å.
Peak positions follow from Bragg's law for the DFT cell and can differ from measured ones.

Largest 12 diffraction maxima, in order of falling intensity, 10° ≤ 2θ ≤ 80°:
2theta	d [Å]	Rel. int.
36.52	2.460	100
44.20	2.049	39
60.15	1.538	30
38.67	2.328	29
76.26	1.249	22
30.85	2.898	20
29.02	3.077	20
68.59	1.368	15
77.61	1.230	14
19.06	4.656	14
64.28	1.449	12
50.27	1.815	11

Atomic structure:
Cell lengths 4.099, 4.099, 4.656 Å; angles 90.00, 90.00, 90.00 degrees
Atoms (fractional coordinates):
Nb 0.000 0.000 0.000
Co 0.000 0.500 0.500
Co 0.500 0.000 0.500
P 0.000 0.000 0.500
Pt 0.500 0.500 0.000

***

Starting from a structure optimized by DFT (GGA-PBE), the powder X-ray diffraction pattern of PaNb2Co was computed for a wavelength of 1.5418 Å.
Peak positions follow from Bragg's law for the DFT cell and can differ from measured ones.

Largest 12 diffraction maxima, in order of falling intensity, 10° ≤ 2θ ≤ 80°:
2theta	d [Å]	Rel. int.
35.65	2.518	100
35.24	2.547	85
47.26	1.923	82
43.20	2.094	49
27.49	3.244	47
49.50	1.841	36
36.95	2.433	35
62.97	1.476	35
75.30	1.262	26
70.03	1.344	21
74.91	1.268	20
18.23	4.866	20

Atomic structure:
Cell lengths 2.952, 2.952, 29.196 Å; angles 90.00, 90.00, 120.00 degrees
Atoms (fractional coordinates):
Pa 0.000 0.000 0.000
Pa 0.333 0.667 0.667
Pa 0.667 0.333 0.333
Nb 0.000 0.000 0.097
Nb 0.000 0.000 0.903
Nb 0.333 0.667 0.569
Nb 0.333 0.667 0.764
Nb 0.667 0.333 0.236
Nb 0.667 0.333 0.431
Co 0.000 0.000 0.500
Co 0.333 0.667 0.167
Co 0.667 0.333 0.833